1.
This entry pairs a crystal structure of Sc3Ga6Fe2 with its theoretical powder diffraction line list. Radiation: Cu Kα. Structure: a PBE-relaxed structure.

Structural model:
```
data_Sc3Ga6Fe2
_chemical_formula_sum 'Sc12 Ga24 Fe8'
_space_group_name_H-M_alt 'P 1'
_space_group_IT_number 1
_cell_length_a 8.138
_cell_length_b 8.413
_cell_length_c 10.408
_cell_angle_alpha 90.00
_cell_angle_beta 90.00
_cell_angle_gamma 90.00
loop_
_space_group_symop_operation_xyz
'x,y,z'
loop_
_atom_site_label
_atom_site_fract_x
_atom_site_fract_y
_atom_site_fract_z
Sc1 0.040 0.250 0.064
Sc2 0.068 0.553 0.640
Sc3 0.068 0.947 0.640
Sc4 0.432 0.053 0.140
Sc5 0.432 0.447 0.140
Sc6 0.460 0.750 0.564
Sc7 0.540 0.250 0.436
Sc8 0.568 0.553 0.860
Sc9 0.568 0.947 0.860
Sc10 0.932 0.053 0.360
Sc11 0.932 0.447 0.360
Sc12 0.960 0.750 0.936
Ga1 0.099 0.750 0.410
Ga2 0.116 0.589 0.157
Ga3 0.116 0.911 0.157
Ga4 0.204 0.006 0.913
Ga5 0.204 0.494 0.913
Ga6 0.219 0.250 0.284
Ga7 0.281 0.750 0.784
Ga8 0.296 0.506 0.413
Ga9 0.296 0.994 0.413
Ga10 0.384 0.089 0.657
Ga11 0.384 0.411 0.657
Ga12 0.401 0.250 0.910
Ga13 0.599 0.750 0.090
Ga14 0.616 0.589 0.343
Ga15 0.616 0.911 0.343
Ga16 0.704 0.006 0.587
Ga17 0.704 0.494 0.587
Ga18 0.719 0.250 0.216
Ga19 0.781 0.750 0.716
Ga20 0.796 0.506 0.087
Ga21 0.796 0.994 0.087
Ga22 0.884 0.089 0.843
Ga23 0.884 0.411 0.843
Ga24 0.901 0.250 0.590
Fe1 0.137 0.250 0.764
Fe2 0.182 0.250 0.522
Fe3 0.318 0.750 0.022
Fe4 0.363 0.750 0.264
Fe5 0.637 0.250 0.736
Fe6 0.682 0.250 0.978
Fe7 0.818 0.750 0.478
Fe8 0.863 0.750 0.236
```

Most intense lines, 15° ≤ 2θ ≤ 90°, by angle:
37.4 deg, d = 2.406 Å, rel. 54
38.1 deg, d = 2.362 Å, rel. 100
39.0 deg, d = 2.309 Å, rel. 59
40.3 deg, d = 2.236 Å, rel. 53
40.5 deg, d = 2.227 Å, rel. 74
40.8 deg, d = 2.213 Å, rel. 59
42.3 deg, d = 2.136 Å, rel. 78
42.6 deg, d = 2.121 Å, rel. 59
43.3 deg, d = 2.088 Å, rel. 56
46.8 deg, d = 1.943 Å, rel. 52

2.
This entry pairs a crystal structure of Mn2V2Ga with its theoretical powder diffraction line list. Radiation: Cu Kα. Structure: a PBE-relaxed structure.

Structural model:
```
data_Mn2V2Ga
_chemical_formula_sum 'Mn4 V4 Ga2'
_space_group_name_H-M_alt 'P 1'
_space_group_IT_number 1
_cell_length_a 4.854
_cell_length_b 4.110
_cell_length_c 6.331
_cell_angle_alpha 90.00
_cell_angle_beta 102.35
_cell_angle_gamma 90.00
loop_
_space_group_symop_operation_xyz
'x,y,z'
loop_
_atom_site_label
_atom_site_fract_x
_atom_site_fract_y
_atom_site_fract_z
Mn1 0.000 0.000 0.000
Mn2 0.125 0.500 0.693
Mn3 0.398 0.000 0.810
Mn4 0.607 0.000 0.190
V1 0.218 0.000 0.381
V2 0.483 0.500 0.515
V3 0.734 0.500 0.897
V4 0.882 0.500 0.306
Ga1 0.304 0.500 0.096
Ga2 0.811 0.000 0.599
```

Most intense lines, 15° ≤ 2θ ≤ 90°, by angle:
43.8 deg, d = 2.067 Å, rel. 65
44.0 deg, d = 2.058 Å, rel. 32
44.1 deg, d = 2.053 Å, rel. 100
63.8 deg, d = 1.458 Å, rel. 10
64.0 deg, d = 1.454 Å, rel. 19
80.3 deg, d = 1.196 Å, rel. 4
80.5 deg, d = 1.193 Å, rel. 8
80.8 deg, d = 1.189 Å, rel. 19
81.1 deg, d = 1.186 Å, rel. 10
81.2 deg, d = 1.184 Å, rel. 14

3.
This entry pairs a crystal structure of Zn7Cu2Ni2 with its theoretical powder diffraction line list. Radiation: Cu Kα. Structure: a PBE-relaxed structure.

Structural model:
```
data_Zn7Cu2Ni2
_chemical_formula_sum 'Zn7 Cu2 Ni2'
_space_group_name_H-M_alt 'P 1'
_space_group_IT_number 1
_cell_length_a 6.755
_cell_length_b 6.755
_cell_length_c 6.755
_cell_angle_alpha 145.15
_cell_angle_beta 69.99
_cell_angle_gamma 121.43
loop_
_space_group_symop_operation_xyz
'x,y,z'
loop_
_atom_site_label
_atom_site_fract_x
_atom_site_fract_y
_atom_site_fract_z
Zn1 0.000 0.000 0.000
Zn2 0.186 0.332 0.855
Zn3 0.203 0.550 0.653
Zn4 0.477 0.332 0.145
Zn5 0.503 0.144 0.359
Zn6 0.786 0.144 0.641
Zn7 0.897 0.550 0.347
Cu1 0.340 0.840 0.500
Cu2 0.628 0.628 0.000
Ni1 0.058 0.848 0.210
Ni2 0.638 0.848 0.790
```

Most intense lines, 15° ≤ 2θ ≤ 90°, by angle:
41.8 deg, d = 2.159 Å, rel. 66
43.0 deg, d = 2.102 Å, rel. 100
44.8 deg, d = 2.023 Å, rel. 35
49.4 deg, d = 1.845 Å, rel. 11
63.0 deg, d = 1.476 Å, rel. 12
68.9 deg, d = 1.363 Å, rel. 8
73.8 deg, d = 1.284 Å, rel. 11
80.6 deg, d = 1.192 Å, rel. 6
81.4 deg, d = 1.183 Å, rel. 13
84.7 deg, d = 1.144 Å, rel. 11